# AcPmSe2S
Computed XRD peak list, Cu Kα X-rays. Input: a PBE-relaxed structure.
No peak broadening, texture or thermal motion is included.

The 10 most intense peaks (2θ = 10–90°), by angle:
d/Å  I_rel
3.805  38
3.787  85
3.310  24
3.088  100
2.398  65
2.194  46
2.183  49
1.893  50
1.547  31
1.298  19

Crystal structure
```
AcPmSe2S
1.0
4.366 0.000 0.000
0.000 4.366 0.000
0.000 0.000 15.221
Ac Pm Se S
2 2 4 2
Cartesian
1.092 1.092 1.923
3.275 3.275 13.298
1.092 1.092 9.233
3.275 3.275 5.989
1.092 1.092 6.176
1.092 1.092 12.017
3.275 3.275 3.204
3.275 3.275 9.045
1.092 3.275 0.000
3.275 1.092 0.000
```

***

# AcPm4SmS8
Computed XRD peak list, Cu Kα X-rays. Input: a PBE-relaxed structure.
No peak broadening, texture or thermal motion is included.

The 10 most intense peaks (2θ = 10–90°), by angle:
d/Å  I_rel
4.179  34
3.564  100
2.955  12
2.413  16
2.275  45
2.090  55
1.803  15
1.539  25
1.365  14
1.207  13

Crystal structure
```
AcPm4SmS8
1.0
4.181 2.414 6.818
-4.181 2.414 6.818
0.000 -4.828 6.818
Ac Pm Sm S
1 4 1 8
Cartesian
0.000 0.000 0.000
-2.058 -1.188 9.387
0.000 0.000 5.109
2.058 -1.188 9.387
0.000 2.377 9.387
0.000 0.000 12.747
0.000 0.000 7.801
0.000 -2.278 11.045
-1.972 1.139 11.045
-1.868 -1.079 14.569
1.972 1.139 11.045
1.868 -1.079 14.569
0.000 2.157 14.569
0.000 0.000 17.632
```

***

# Ac3PmSb4
Computed XRD peak list, Cu Kα X-rays. Input: a PBE-relaxed structure.
No peak broadening, texture or thermal motion is included.

The 10 most intense peaks (2θ = 10–90°), by angle:
d/Å  I_rel
3.860  12
3.343  100
2.364  78
2.016  7
1.930  29
1.671  14
1.495  37
1.365  28
1.182  9
1.114  17

Crystal structure
```
Ac3PmSb4
1.0
9.457 0.000 0.000
0.000 13.363 0.000
0.000 0.000 4.730
Ac Pm Sb
6 2 8
Cartesian
0.000 0.000 0.000
2.364 3.341 2.365
2.364 10.023 2.365
4.729 6.682 0.000
7.093 3.341 2.365
7.093 10.023 2.365
0.000 6.682 0.000
4.729 0.000 0.000
0.000 3.417 0.000
0.000 9.946 0.000
2.263 6.682 2.365
2.466 0.000 2.365
4.729 3.264 0.000
4.729 10.099 0.000
6.991 0.000 2.365
7.195 6.682 2.365
```

***

# Ac2PmSc
Computed XRD peak list, Cu Kα X-rays. Input: a PBE-relaxed structure.
No peak broadening, texture or thermal motion is included.

The 10 most intense peaks (2θ = 10–90°), by angle:
d/Å  I_rel
4.831  6
4.184  18
2.959  100
2.416  6
2.092  19
1.871  9
1.708  41
1.479  13
1.323  18
1.118  21

Crystal structure
```
Ac2PmSc
1.0
8.368 0.000 0.000
0.000 8.368 0.000
0.000 0.000 8.368
Ac Pm Sc
8 4 4
Cartesian
2.092 2.092 2.092
2.092 2.092 6.276
2.092 6.276 2.092
2.092 6.276 6.276
6.276 2.092 2.092
6.276 2.092 6.276
6.276 6.276 2.092
6.276 6.276 6.276
0.000 0.000 0.000
0.000 4.184 4.184
4.184 0.000 4.184
4.184 4.184 0.000
0.000 0.000 4.184
0.000 4.184 0.000
4.184 0.000 0.000
4.184 4.184 4.184
```

***

# Ac3Pm4Se8
Computed XRD peak list, Cu Kα X-rays. Input: a PBE-relaxed structure.
No peak broadening, texture or thermal motion is included.

The 10 most intense peaks (2θ = 10–90°), by angle:
d/Å  I_rel
3.549  10
3.506  10
3.055  100
2.179  13
2.160  51
2.141  12
1.774  14
1.753  13
1.527  13
1.366  23

Crystal structure
```
Ac3Pm4Se8
1.0
6.106 -6.112 0.000
6.106 6.112 0.000
-5.997 0.000 6.112
Ac Pm Se
3 4 8
Cartesian
0.000 0.000 0.000
0.055 3.056 3.056
0.055 -3.056 3.056
3.053 3.056 0.000
3.053 -3.056 0.000
6.106 0.000 0.000
3.108 0.000 3.056
3.108 3.010 3.056
6.106 2.985 0.000
3.119 0.000 0.032
0.113 0.000 3.129
6.104 0.000 2.983
3.097 0.000 6.080
6.106 -2.985 0.000
3.108 -3.010 3.056
```

***

# Ac5Pm3Se8
Computed XRD peak list, Cu Kα X-rays. Input: a PBE-relaxed structure.
No peak broadening, texture or thermal motion is included.

The 10 most intense peaks (2θ = 10–90°), by angle:
d/Å  I_rel
3.566  33
3.088  100
2.184  76
1.862  18
1.785  7
1.782  21
1.544  13
1.381  35
1.262  6
1.260  20

Crystal structure
```
Ac5Pm3Se8
1.0
4.364 2.520 7.142
-4.364 2.520 7.142
0.000 -5.039 7.142
Ac Pm Se
5 3 8
Cartesian
0.000 0.000 0.000
-2.182 -1.260 7.142
-2.182 1.260 14.284
0.000 2.520 7.142
0.000 0.000 10.713
-4.364 0.000 10.713
-2.182 1.260 3.571
2.182 1.260 3.571
-2.236 -1.291 12.410
0.000 0.000 5.231
0.000 -2.582 9.016
-2.236 1.291 9.016
2.236 -1.291 12.410
0.000 2.582 12.410
0.000 0.000 16.195
2.236 1.291 9.016
```

***

# AcPmTl2Se4
Computed XRD peak list, Cu Kα X-rays. Input: a PBE-relaxed structure.
No peak broadening, texture or thermal motion is included.

The 10 most intense peaks (2θ = 10–90°), by angle:
d/Å  I_rel
3.866  10
3.648  24
3.203  100
2.315  38
2.219  37
1.924  10
1.824  20
1.602  12
1.457  10
1.409  17

Crystal structure
```
AcPmTl2Se4
1.0
7.690 0.000 0.000
0.000 4.435 0.000
-2.553 0.000 7.732
Ac Pm Tl Se
1 1 2 4
Cartesian
0.000 0.000 0.000
3.845 2.218 0.000
-1.277 2.218 3.866
2.568 0.000 3.866
1.379 2.218 1.668
0.094 0.000 6.102
5.043 0.000 1.630
3.758 2.218 6.065
```

***

# AcPm2Y3Se6
Computed XRD peak list, Cu Kα X-rays. Input: a PBE-relaxed structure.
No peak broadening, texture or thermal motion is included.

The 10 most intense peaks (2θ = 10–90°), by angle:
d/Å  I_rel
2.961  100
2.114  25
2.106  12
2.082  12
2.074  24
1.738  7
1.703  13
1.480  12
1.334  11
1.314  11

Crystal structure
```
AcPm2Y3Se6
1.0
3.587 -6.247 0.000
3.587 6.247 0.000
-2.414 0.000 6.953
Ac Pm Y Se
1 2 3 6
Cartesian
0.000 0.000 0.000
3.587 2.095 0.000
3.587 -2.095 0.000
2.380 4.210 3.477
2.380 0.000 3.477
2.380 -4.210 3.477
1.224 2.136 1.861
0.051 0.000 5.122
1.224 -2.136 1.861
3.537 2.136 5.092
4.710 0.000 1.831
3.537 -2.136 5.092
```

***

# AcPm8Si4
Computed XRD peak list, Cu Kα X-rays. Input: a PBE-relaxed structure.
No peak broadening, texture or thermal motion is included.

The 10 most intense peaks (2θ = 10–90°), by angle:
d/Å  I_rel
3.778  24
3.164  50
3.104  53
2.722  20
2.684  100
2.671  38
2.426  32
2.041  21
1.719  27
1.545  34

Crystal structure
```
AcPm8Si4
1.0
-5.343 5.343 3.164
5.343 -5.343 3.164
5.343 5.343 -3.164
Ac Pm Si
1 8 4
Cartesian
0.000 0.000 0.000
3.547 0.000 0.000
7.138 0.000 0.000
5.343 3.014 0.000
0.000 3.547 0.000
3.014 5.343 0.000
2.329 0.000 3.164
0.000 7.138 0.000
0.000 2.329 3.164
2.671 2.671 -1.582
2.671 -2.671 1.582
-2.671 2.671 1.582
2.671 2.671 1.582
```

***

# AcPm12Si6
Computed XRD peak list, Cu Kα X-rays. Input: a PBE-relaxed structure.
No peak broadening, texture or thermal motion is included.

The 10 most intense peaks (2θ = 10–90°), by angle:
d/Å  I_rel
4.005  28
3.900  15
3.220  53
3.112  100
2.794  18
2.671  41
2.582  16
2.251  17
2.153  29
1.820  17

Crystal structure
```
AcPm12Si6
1.0
6.754 3.900 3.663
-6.754 3.900 3.663
0.000 -7.799 3.663
Ac Pm Si
1 12 6
Cartesian
0.000 0.000 0.000
-2.549 -4.415 5.495
-5.098 0.000 5.495
-1.812 -1.046 3.929
1.812 -1.046 3.929
0.000 2.093 3.929
2.549 -4.415 5.495
-2.549 4.415 5.495
0.000 -2.093 7.061
-1.812 1.046 7.061
1.812 1.046 7.061
5.098 0.000 5.495
2.549 4.415 5.495
0.000 -3.511 4.369
-3.041 1.756 4.369
-3.041 -1.756 6.620
3.041 1.756 4.369
3.041 -1.756 6.620
0.000 3.511 6.620
```

***

# Ac3PmSi6
Computed XRD peak list, Cu Kα X-rays. Input: a PBE-relaxed structure.
No peak broadening, texture or thermal motion is included.

The 10 most intense peaks (2θ = 10–90°), by angle:
d/Å  I_rel
5.151  48
3.942  30
3.796  31
3.310  79
3.062  39
2.854  100
2.632  65
2.575  72
1.995  34
1.812  48

Crystal structure
```
Ac3PmSi6
1.0
6.125 3.536 3.928
-6.125 3.536 3.928
0.000 -7.072 3.928
Ac Pm Si
6 2 12
Cartesian
-3.439 1.116 4.910
-2.686 -2.420 6.874
0.753 -3.536 4.910
-0.753 3.536 6.874
2.686 2.420 4.910
3.439 -1.116 6.874
0.000 0.000 0.000
0.000 0.000 5.892
-0.463 -2.390 1.979
-1.838 1.596 1.979
-1.838 -1.596 3.913
2.301 0.794 1.979
-0.463 2.390 3.913
2.301 -0.794 3.913
-2.301 0.794 7.870
0.463 -2.390 7.870
-2.301 -0.794 9.805
1.838 1.596 7.870
1.838 -1.596 9.805
0.463 2.390 9.805
```

***

# AcPm2Si
Computed XRD peak list, Cu Kα X-rays. Input: a PBE-relaxed structure.
No peak broadening, texture or thermal motion is included.

The 10 most intense peaks (2θ = 10–90°), by angle:
d/Å  I_rel
3.558  32
3.476  26
3.199  93
3.144  42
3.029  100
2.070  50
1.861  26
1.729  45
1.709  19
1.252  19

Crystal structure
```
AcPm2Si
1.0
4.141 0.000 0.000
-2.070 3.586 0.000
0.000 0.000 28.296
Ac Pm Si
3 6 3
Cartesian
0.000 0.000 0.000
0.000 2.391 18.864
2.071 1.195 9.432
0.000 0.000 15.711
0.000 0.000 21.878
0.000 2.391 6.279
0.000 2.391 12.446
2.071 1.195 3.014
2.071 1.195 25.143
0.000 0.000 4.629
0.000 2.391 23.493
2.071 1.195 14.061
```